# 1
Theoretical powder diffraction line list
Compound: Ac2Os2O7
Radiation: Cu Kα X-rays
Structure: a cell relaxed with PBE
No peak broadening, texture or thermal motion is included.

Structural model:
Lattice parameters (Å, degrees): 7.0228 7.0228 4.4138 103.14 103.14 118.45
Fractional coordinates of all 11 atoms:
Ac 0.1764 0.8236 0.0000
Ac 0.8236 0.1764 0.0000
Os 0.3497 0.3497 0.7568
Os 0.6503 0.6503 0.2432
O 0.1040 0.4153 0.6660
O 0.1579 0.1579 0.9480
O 0.4153 0.1040 0.6660
O 0.5000 0.5000 0.5000
O 0.5847 0.8960 0.3340
O 0.8421 0.8421 0.0520
O 0.8960 0.5847 0.3340

The 12 most intense peaks (5° ≤ 2θ ≤ 70°), sorted by position:
Position (°2θ)  I/Imax
22.49  327
26.12  1000
26.84  701
30.31  722
31.50  186
32.26  452
44.20  210
45.08  222
46.08  225
49.48  192
52.17  229
53.24  293

***

# 2
Theoretical powder diffraction line list
Compound: Ac2PrOsO8
Radiation: Cu Kα X-rays
Structure: a cell relaxed with PBE
No peak broadening, texture or thermal motion is included.

Structural model:
Lattice parameters (Å, degrees): 5.0903 7.2744 5.5192 90.00 90.95 90.00
Fractional coordinates of all 12 atoms:
Ac 0.0000 0.2434 0.0000
Ac 0.0000 0.7566 0.0000
Pr 0.5000 0.5000 0.5000
Os 0.5000 0.0000 0.5000
O 0.1616 0.5000 0.2150
O 0.2068 0.0000 0.2986
O 0.3546 0.2001 0.6935
O 0.3546 0.7999 0.6935
O 0.6454 0.2001 0.3065
O 0.6454 0.7999 0.3065
O 0.7932 0.0000 0.7014
O 0.8384 0.5000 0.7850

The 12 most intense peaks (5° ≤ 2θ ≤ 70°), sorted by position:
Position (°2θ)  I/Imax
23.58  971
23.98  887
29.41  1000
30.20  825
32.45  298
35.27  278
44.69  413
45.14  342
46.34  309
46.78  296
56.02  192
56.15  192

***

# 3
Theoretical powder diffraction line list
Compound: Rb2AcOsO8
Radiation: Cu Kα X-rays
Structure: a cell relaxed with PBE
No peak broadening, texture or thermal motion is included.

Structural model:
Lattice parameters (Å, degrees): 6.2303 6.2303 6.5270 90.00 90.00 120.00
Fractional coordinates of all 12 atoms:
Rb 0.3333 0.6667 0.3949
Rb 0.6667 0.3333 0.6051
Ac 0.0000 0.0000 0.0000
Os 0.0000 0.0000 0.5000
O 0.1380 0.2760 0.6755
O 0.1380 0.8620 0.6755
O 0.2760 0.1380 0.3245
O 0.3333 0.6667 0.9955
O 0.6667 0.3333 0.0045
O 0.7240 0.8620 0.6755
O 0.8620 0.1380 0.3245
O 0.8620 0.7240 0.3245

The 12 most intense peaks (5° ≤ 2θ ≤ 70°), sorted by position:
Position (°2θ)  I/Imax
16.43  1000
27.33  153
28.66  804
32.05  470
40.01  466
43.52  295
50.76  157
52.94  274
58.61  156
59.15  135
59.33  130
69.05  123

***

# 4
Theoretical powder diffraction line list
Compound: SrAc2OsO8
Radiation: Cu Kα X-rays
Structure: a cell relaxed with PBE
No peak broadening, texture or thermal motion is included.

Structural model:
Lattice parameters (Å, degrees): 5.3820 5.3820 7.4186 90.03 90.03 90.35
Fractional coordinates of all 12 atoms:
Sr 0.0000 0.0000 0.0000
Ac 0.4994 0.4994 0.7493
Ac 0.5006 0.5006 0.2507
Os 0.0000 0.0000 0.5000
O 0.1702 0.8278 0.3173
O 0.1722 0.8298 0.6827
O 0.2474 0.2474 0.4992
O 0.3148 0.3148 0.0004
O 0.6852 0.6852 0.9996
O 0.7526 0.7526 0.5008
O 0.8278 0.1702 0.3173
O 0.8298 0.1722 0.6827

The 12 most intense peaks (5° ≤ 2θ ≤ 70°), sorted by position:
Position (°2θ)  I/Imax
23.30  531
23.45  493
29.24  1000
33.30  298
44.81  381
44.97  356
53.98  103
55.08  196
57.02  205
60.64  130
67.47  98
67.84  97

***

# 5
Theoretical powder diffraction line list
Compound: AcTbOsO6
Radiation: Cu Kα X-rays
Structure: a cell relaxed with PBE
No peak broadening, texture or thermal motion is included.

Structural model:
Lattice parameters (Å, degrees): 5.6027 5.6027 10.4521 90.00 90.00 120.00
Fractional coordinates of all 18 atoms:
Ac 0.0000 0.0000 0.0000
Ac 0.0000 0.0000 0.5000
Tb 0.3333 0.6667 0.2500
Tb 0.6667 0.3333 0.7500
Os 0.3333 0.6667 0.7500
Os 0.6667 0.3333 0.2500
O 0.0433 0.3845 0.6436
O 0.0433 0.6588 0.8564
O 0.3412 0.3845 0.8564
O 0.3412 0.9567 0.6436
O 0.3845 0.0433 0.1436
O 0.3845 0.3412 0.3564
O 0.6155 0.6588 0.6436
O 0.6155 0.9567 0.8564
O 0.6588 0.0433 0.3564
O 0.6588 0.6155 0.1436
O 0.9567 0.3412 0.1436
O 0.9567 0.6155 0.3564

The 12 most intense peaks (5° ≤ 2θ ≤ 70°), sorted by position:
Position (°2θ)  I/Imax
16.97  62
25.04  1000
31.95  465
34.32  108
41.02  268
47.59  420
52.91  263
56.09  108
56.93  134
66.02  72
66.79  61
68.19  107

***

# 6
Theoretical powder diffraction line list
Compound: Ac2ZnOsO8
Radiation: Cu Kα X-rays
Structure: a cell relaxed with PBE
No peak broadening, texture or thermal motion is included.

Structural model:
Lattice parameters (Å, degrees): 4.3745 5.4257 7.4863 82.84 86.53 83.00
Fractional coordinates of all 12 atoms:
Ac 0.1793 0.0098 0.2382
Ac 0.8207 0.9902 0.7618
Zn 0.5000 0.5000 0.0000
Os 0.5000 0.5000 0.5000
O 0.2091 0.7677 0.5506
O 0.2873 0.2672 0.6468
O 0.2873 0.4635 0.2929
O 0.2933 0.8176 0.9476
O 0.7067 0.1824 0.0524
O 0.7127 0.5365 0.7071
O 0.7127 0.7328 0.3532
O 0.7909 0.2323 0.4494

The 12 most intense peaks (5° ≤ 2θ ≤ 70°), sorted by position:
Position (°2θ)  I/Imax
23.27  162
24.24  526
24.90  410
26.37  376
27.59  718
27.94  311
30.93  1000
33.52  383
40.97  216
42.91  182
47.02  322
64.43  163

***

# 7
Theoretical powder diffraction line list
Compound: AcP2O8
Radiation: Cu Kα X-rays
Structure: a cell relaxed with PBE
No peak broadening, texture or thermal motion is included.

Structural model:
Lattice parameters (Å, degrees): 6.2344 6.2344 5.6215 90.00 90.00 120.00
Fractional coordinates of all 11 atoms:
Ac 0.0000 0.0000 0.0000
P 0.3333 0.6667 0.3123
P 0.6667 0.3333 0.6877
O 0.1977 0.3954 0.2298
O 0.1977 0.8023 0.2298
O 0.3333 0.6667 0.5896
O 0.3954 0.1977 0.7702
O 0.6046 0.8023 0.2298
O 0.6667 0.3333 0.4104
O 0.8023 0.1977 0.7702
O 0.8023 0.6046 0.7702

The 12 most intense peaks (5° ≤ 2θ ≤ 70°), sorted by position:
Position (°2θ)  I/Imax
15.76  176
16.42  404
22.84  1000
28.64  368
32.85  161
36.02  267
36.94  257
43.35  126
44.39  132
46.65  172
47.39  278
64.39  105

***

# 8
Theoretical powder diffraction line list
Compound: AcP2PbO6
Radiation: Cu Kα X-rays
Structure: a cell relaxed with PBE
No peak broadening, texture or thermal motion is included.

Structural model:
Lattice parameters (Å, degrees): 7.4374 7.4374 7.4374 42.80 42.80 42.80
Fractional coordinates of all 10 atoms:
Ac 0.0000 0.0000 0.0000
P 0.2692 0.2692 0.2692
P 0.7308 0.7308 0.7308
Pb 0.5000 0.5000 0.5000
O 0.0097 0.4640 0.7944
O 0.2056 0.9903 0.5360
O 0.4640 0.7944 0.0097
O 0.5360 0.2056 0.9903
O 0.7944 0.0097 0.4640
O 0.9903 0.5360 0.2056

The 12 most intense peaks (5° ≤ 2θ ≤ 70°), sorted by position:
Position (°2θ)  I/Imax
20.84  726
25.88  1000
33.01  420
39.36  213
40.50  286
42.41  221
42.77  370
49.01  109
52.28  176
54.77  220
58.95  114
64.05  131

***

# 9
Theoretical powder diffraction line list
Compound: Ac2PPbO8
Radiation: Cu Kα X-rays
Structure: a cell relaxed with PBE
No peak broadening, texture or thermal motion is included.

Structural model:
Lattice parameters (Å, degrees): 5.3946 5.3946 6.9820 90.00 90.00 120.00
Fractional coordinates of all 12 atoms:
Ac 0.3333 0.6667 0.3409
Ac 0.6667 0.3333 0.6591
P 0.0000 0.0000 0.5000
Pb 0.0000 0.0000 0.0000
O 0.1499 0.2998 0.6418
O 0.1499 0.8501 0.6418
O 0.2998 0.1499 0.3582
O 0.3333 0.6667 0.0153
O 0.6667 0.3333 0.9847
O 0.7002 0.8501 0.6418
O 0.8501 0.1499 0.3582
O 0.8501 0.7002 0.3582

The 12 most intense peaks (5° ≤ 2θ ≤ 70°), sorted by position:
Position (°2θ)  I/Imax
22.90  1000
32.00  543
33.21  586
38.69  150
40.73  356
46.79  274
51.89  282
53.53  230
56.26  118
58.58  202
59.34  113
66.92  92

***

# 10
Theoretical powder diffraction line list
Compound: AcPrPO
Radiation: Cu Kα X-rays
Structure: a cell relaxed with PBE
No peak broadening, texture or thermal motion is included.

Structural model:
Lattice parameters (Å, degrees): 4.5673 4.5673 9.5839 90.00 90.00 90.00
Fractional coordinates of all 8 atoms:
Ac 0.2500 0.2500 0.1147
Ac 0.7500 0.7500 0.8853
Pr 0.2500 0.7500 0.5000
Pr 0.7500 0.2500 0.5000
P 0.2500 0.2500 0.6892
P 0.7500 0.7500 0.3108
O 0.2500 0.7500 0.0000
O 0.7500 0.2500 0.0000

The 12 most intense peaks (5° ≤ 2θ ≤ 70°), sorted by position:
Position (°2θ)  I/Imax
18.52  267
21.55  351
26.97  908
29.18  1000
33.46  211
34.25  326
39.46  484
47.24  476
48.45  374
53.23  190
63.35  184
65.34  216

***

# 11
Theoretical powder diffraction line list
Compound: Ac4P2SO2
Radiation: Cu Kα X-rays
Structure: a cell relaxed with PBE
No peak broadening, texture or thermal motion is included.

Structural model:
Lattice parameters (Å, degrees): 8.1137 8.1137 7.6506 112.05 112.05 29.43
Fractional coordinates of all 9 atoms:
Ac 0.0213 0.0213 0.2354
Ac 0.2780 0.2780 0.3025
Ac 0.7220 0.7220 0.6975
Ac 0.9787 0.9787 0.7646
P 0.3742 0.3742 0.9581
P 0.6258 0.6258 0.0419
S 0.5000 0.5000 0.5000
O 0.1751 0.1751 0.4916
O 0.8249 0.8249 0.5084

The 12 most intense peaks (5° ≤ 2θ ≤ 70°), sorted by position:
Position (°2θ)  I/Imax
22.43  226
24.59  1000
25.26  421
26.95  295
27.65  506
28.49  534
31.90  232
32.13  536
35.97  454
43.20  347
43.93  234
44.89  286

***

# 12
Theoretical powder diffraction line list
Compound: AcScPO
Radiation: Cu Kα X-rays
Structure: a cell relaxed with PBE
No peak broadening, texture or thermal motion is included.

Structural model:
Lattice parameters (Å, degrees): 4.1926 4.1926 11.8457 90.00 90.00 120.00
Fractional coordinates of all 8 atoms:
Ac 0.3333 0.6667 0.0000
Ac 0.6667 0.3333 0.5000
Sc 0.0000 0.0000 0.2458
Sc 0.0000 0.0000 0.7458
P 0.3333 0.6667 0.3293
P 0.6667 0.3333 0.8293
O 0.0000 0.0000 0.0807
O 0.0000 0.0000 0.5807

The 12 most intense peaks (5° ≤ 2θ ≤ 70°), sorted by position:
Position (°2θ)  I/Imax
14.96  480
25.66  1000
28.84  467
30.18  214
33.53  751
43.15  382
45.73  213
45.93  237
50.88  164
52.76  234
53.56  263
55.73  179